Calculated X-ray powder pattern of AlCrIn2F6 for copper Kα, from a cell relaxed with GGA+U.
Neutral-atom scattering factors, no anomalous dispersion.

Most intense lines, 2θ = 15–90°, most intense first:
- 2θ = 25.2°, rel. 100, hkl 1 -1 1
- 2θ = 29.1°, rel. 72, hkl 0 1 1
- 2θ = 29.6°, rel. 64, hkl 1 1 -1
- 2θ = 30.7°, rel. 64, hkl 1 0 -2
- 2θ = 39.5°, rel. 56, hkl 0 2 -2
- 2θ = 39.0°, rel. 53, hkl 2 0 0
- 2θ = 30.8°, rel. 52, hkl 1 -2 0
- 2θ = 32.0°, rel. 43, hkl -2 1 1
- 2θ = 37.1°, rel. 30, hkl 0 2 0
- 2θ = 19.5°, rel. 24, hkl 0 1 -1

Structure:
Cell: 5.751 5.920 6.035 Å, 101.22 106.11 117.63°
Fractional coordinates of all 10 atoms:
Al (0.000, 0.000, 0.000)
Cr (0.000, 0.500, 0.500)
In (0.470, 0.763, 0.245)
In (0.530, 0.237, 0.755)
F (0.044, 0.212, 0.300)
F (0.049, 0.276, 0.886)
F (0.391, 0.153, 0.123)
F (0.609, 0.847, 0.877)
F (0.951, 0.724, 0.114)
F (0.956, 0.788, 0.700)